Record 1
Theoretical powder XRD pattern
Compound: Er3Al2Ni6H7
Radiation: a wavelength of 1.5418 Å
Structure: DFT lattice parameters and positions (PBE)
Neutral-atom scattering factors, no anomalous dispersion.

Structural model:
Lattice parameters (Å, degrees): 9.067 9.067 9.067 90.00 90.00 90.00
Space group Im-3m (No. 229)
Unique sites:
Er 0.000 0.000 0.281 [12 per cell]
Al 0.250 0.250 0.250 [8 per cell]
Ni 0.000 0.333 0.333 [24 per cell]
H 0.000 0.250 0.500 [12 per cell]
H 0.123 0.123 0.123 [16 per cell]

Largest 10 diffraction maxima, by intensity, 5 to 70 degrees two-theta:
2θ = 42.3°, rel. 100.0, hkl 3 3 0; 2θ = 31.2°, rel. 38.2, hkl 3 1 0; 2θ = 37.1°, rel. 35.6, hkl 3 2 1; 2θ = 34.3°, rel. 35.0, hkl 2 2 2; 2θ = 39.8°, rel. 25.9, hkl 4 0 0; 2θ = 63.2°, rel. 22.9, hkl 5 3 2; 2θ = 68.7°, rel. 21.8, hkl 6 2 2; 2θ = 24.0°, rel. 20.1, hkl 2 1 1; 2θ = 27.8°, rel. 18.3, hkl 2 2 0; 2θ = 55.5°, rel. 15.5, hkl 5 2 1

***

Record 2
Theoretical powder XRD pattern
Compound: CsLa2CuSe3S
Radiation: a wavelength of 1.5418 Å
Structure: DFT lattice parameters and positions (PBE)
Neutral-atom scattering factors, no anomalous dispersion.

Structural model:
Lattice parameters (Å, degrees): 4.309 15.072 14.679 90.00 90.00 90.00
Space group Cmcm (No. 63)
Unique sites:
Cs 0.000 0.098 0.250 [4 per cell]
La 0.000 0.365 0.064 [8 per cell]
Cu 0.000 0.162 0.750 [4 per cell]
Se 0.000 0.000 0.000 [4 per cell]
Se 0.000 0.261 0.613 [8 per cell]
S 0.000 0.414 0.250 [4 per cell]

Largest 10 diffraction maxima, by intensity, 5 to 70 degrees two-theta:
2θ = 29.9°, rel. 100.0, hkl 1 3 2; 2θ = 27.9°, rel. 97.7, hkl 1 3 1; 2θ = 40.9°, rel. 67.1, hkl 1 5 3; 2θ = 21.7°, rel. 64.1, hkl 0 2 3; 2θ = 41.9°, rel. 44.7, hkl 2 0 0; 2θ = 27.0°, rel. 36.2, hkl 0 2 4; 2θ = 37.5°, rel. 34.8, hkl 1 1 5; 2θ = 24.7°, rel. 34.2, hkl 1 1 2; 2θ = 32.6°, rel. 29.0, hkl 1 1 4; 2θ = 27.3°, rel. 28.5, hkl 1 3 0

***

Record 3
Theoretical powder XRD pattern
Compound: HgGeTeO
Radiation: a wavelength of 1.5418 Å
Structure: DFT lattice parameters and positions (PBE)
Neutral-atom scattering factors, no anomalous dispersion.

Structural model:
Lattice parameters (Å, degrees): 6.278 9.759 6.209 90.00 90.00 90.00
Space group Pca2_1 (No. 29)
Unique sites:
Hg 0.072 0.088 0.000 [4 per cell]
Ge 0.048 0.689 0.014 [4 per cell]
Te 0.002 0.645 0.544 [4 per cell]
O 0.014 0.874 0.039 [4 per cell]

Largest 10 diffraction maxima, by intensity, 5 to 70 degrees two-theta:
2θ = 28.8°, rel. 100.0, hkl 0 0 2; 2θ = 34.2°, rel. 94.0, hkl 1 3 1; 2θ = 28.4°, rel. 67.8, hkl 2 0 0; 2θ = 22.1°, rel. 56.4, hkl 1 1 1; 2θ = 40.9°, rel. 47.6, hkl 2 0 2; 2θ = 9.1°, rel. 45.3, hkl 0 1 0; 2θ = 31.9°, rel. 36.9, hkl 2 0 1; 2θ = 47.2°, rel. 33.1, hkl 3 2 0; 2θ = 56.2°, rel. 30.6, hkl 3 2 2; 2θ = 33.3°, rel. 24.8, hkl 2 1 1

***

Record 4
Theoretical powder XRD pattern
Compound: LiCuRePb
Radiation: a wavelength of 1.5418 Å
Structure: DFT lattice parameters and positions (PBE)
Neutral-atom scattering factors, no anomalous dispersion.

Structural model:
Lattice parameters (Å, degrees): 6.387 6.387 6.387 90.00 90.00 90.00
Space group F-43m (No. 216)
Unique sites:
Li 0.000 0.000 0.000 [4 per cell]
Cu 0.250 0.250 0.750 [4 per cell]
Re 0.250 0.250 0.250 [4 per cell]
Pb 0.000 0.000 0.500 [4 per cell]

Largest 6 diffraction maxima, by intensity, 5 to 70 degrees two-theta:
2θ = 39.9°, rel. 100.0, hkl 2 2 0; 2θ = 24.1°, rel. 59.5, hkl 1 1 1; 2θ = 47.2°, rel. 31.3, hkl 3 1 1; 2θ = 57.7°, rel. 17.1, hkl 4 0 0; 2θ = 63.5°, rel. 13.3, hkl 3 3 1; 2θ = 27.9°, rel. 1.2, hkl 2 0 0